Entry 1:
Simulated powder XRD pattern
Compound: As4Pt
Radiation: CuKα
Structure: a structure optimized by DFT (GGA-PBE)

Structural model:
```
data_As4Pt
_space_group_name_H-M_alt 'P 1'
_space_group_IT_number 1
_space_group_name_Hall 'P 1'
_cell_length_a 5.418
_cell_length_b 5.358
_cell_length_c 7.209
_cell_angle_alpha 90.00
_cell_angle_beta 102.40
_cell_angle_gamma 90.00
loop_
_atom_site_label
_atom_site_fract_x
_atom_site_fract_y
_atom_site_fract_z
As1 0.139 0.170 0.437
As2 0.139 0.330 0.937
As3 0.282 0.679 0.752
As4 0.282 0.821 0.252
As5 0.718 0.179 0.748
As6 0.718 0.321 0.248
As7 0.861 0.670 0.063
As8 0.861 0.830 0.563
Pt1 0.500 0.000 0.000
Pt2 0.500 0.500 0.500
```

Principal peaks in the range 10 to 90 degrees two-theta, low angle first:
d/Å  intensity
5.291  245
4.264  296
3.553  283
3.127  1000
2.793  530
2.392  530
2.373  256
2.130  308
1.893  313
1.732  351


Entry 2:
Simulated powder XRD pattern
Compound: As3Pt5
Radiation: CuKα
Structure: a structure optimized by DFT (GGA-PBE)

Structural model:
```
data_As3Pt5
_space_group_name_H-M_alt 'P 1'
_space_group_IT_number 1
_space_group_name_Hall 'P 1'
_cell_length_a 7.288
_cell_length_b 7.288
_cell_length_c 7.046
_cell_angle_alpha 105.88
_cell_angle_beta 105.88
_cell_angle_gamma 117.81
loop_
_atom_site_label
_atom_site_fract_x
_atom_site_fract_y
_atom_site_fract_z
As1 0.000 0.000 0.000
As2 0.303 0.779 0.619
As3 0.394 0.394 0.679
As4 0.433 0.757 0.155
As5 0.757 0.433 0.155
As6 0.779 0.303 0.619
Pt1 0.028 0.340 0.431
Pt2 0.119 0.338 0.882
Pt3 0.338 0.119 0.882
Pt4 0.340 0.028 0.431
Pt5 0.376 0.376 0.299
Pt6 0.649 0.986 0.990
Pt7 0.662 0.882 0.563
Pt8 0.865 0.865 0.285
Pt9 0.882 0.662 0.563
Pt10 0.986 0.649 0.990
```

Principal peaks in the range 10 to 90 degrees two-theta, low angle first:
d/Å  intensity
3.192  441
2.832  322
2.693  342
2.402  329
2.334  398
2.324  401
2.244  356
2.229  1000
2.158  254
2.037  315


Entry 3:
Simulated powder XRD pattern
Compound: AsPt3
Radiation: CuKα
Structure: a structure optimized by DFT (GGA-PBE)

Structural model:
```
data_AsPt3
_space_group_name_H-M_alt 'P 1'
_space_group_IT_number 1
_space_group_name_Hall 'P 1'
_cell_length_a 3.476
_cell_length_b 3.476
_cell_length_c 6.681
_cell_angle_alpha 90.00
_cell_angle_beta 90.00
_cell_angle_gamma 120.00
loop_
_atom_site_label
_atom_site_fract_x
_atom_site_fract_y
_atom_site_fract_z
As1 0.000 0.000 0.000
Pt1 0.000 0.000 0.500
Pt2 0.667 0.333 0.224
Pt3 0.667 0.333 0.776
```

Principal peaks in the range 10 to 90 degrees two-theta, low angle first:
d/Å  intensity
3.010  435
2.744  140
2.236  1000
1.738  328
1.670  74
1.461  73
1.372  214
1.370  63
1.221  61
1.204  154


Entry 4:
Simulated powder XRD pattern
Compound: Rb5As3Pt3
Radiation: CuKα
Structure: a structure optimized by DFT (GGA-PBE)

Structural model:
```
data_Rb5As3Pt3
_space_group_name_H-M_alt 'P 1'
_space_group_IT_number 1
_space_group_name_Hall 'P 1'
_cell_length_a 10.705
_cell_length_b 10.705
_cell_length_c 4.592
_cell_angle_alpha 90.00
_cell_angle_beta 90.00
_cell_angle_gamma 120.00
loop_
_atom_site_label
_atom_site_fract_x
_atom_site_fract_y
_atom_site_fract_z
Rb1 0.000 0.271 0.000
Rb2 0.271 0.000 0.000
Rb3 0.333 0.667 0.000
Rb4 0.667 0.333 0.000
Rb5 0.729 0.729 0.000
As1 0.000 0.636 0.000
As2 0.364 0.364 0.000
As3 0.636 0.000 0.000
Pt1 0.000 0.638 0.500
Pt2 0.362 0.362 0.500
Pt3 0.638 0.000 0.500
```

Principal peaks in the range 10 to 90 degrees two-theta, low angle first:
d/Å  intensity
5.352  1000
3.504  299
3.485  612
3.090  886
2.676  186
2.312  131
2.296  178
2.110  186
1.852  169
1.843  399


Entry 5:
Simulated powder XRD pattern
Compound: RbTlAs2Pt4
Radiation: CuKα
Structure: a structure optimized by DFT (GGA-PBE)

Structural model:
```
data_RbTlAs2Pt4
_space_group_name_H-M_alt 'P 1'
_space_group_IT_number 1
_space_group_name_Hall 'P 1'
_cell_length_a 4.036
_cell_length_b 4.036
_cell_length_c 11.411
_cell_angle_alpha 90.00
_cell_angle_beta 90.00
_cell_angle_gamma 90.00
loop_
_atom_site_label
_atom_site_fract_x
_atom_site_fract_y
_atom_site_fract_z
Rb1 0.000 0.000 0.000
Tl1 0.000 0.000 0.500
As1 0.500 0.500 0.188
As2 0.500 0.500 0.812
Pt1 0.000 0.500 0.310
Pt2 0.000 0.500 0.690
Pt3 0.500 0.000 0.310
Pt4 0.500 0.000 0.690
```

Principal peaks in the range 10 to 90 degrees two-theta, low angle first:
d/Å  intensity
5.705  358
3.804  290
3.295  419
2.552  720
2.283  1000
2.018  535
1.902  194
1.782  384
1.384  187
1.210  306


Entry 6:
Simulated powder XRD pattern
Compound: SmAsPtRh
Radiation: CuKα
Structure: a structure optimized by DFT (GGA-PBE)

Structural model:
```
data_SmAsPtRh
_space_group_name_H-M_alt 'P 1'
_space_group_IT_number 1
_space_group_name_Hall 'P 1'
_cell_length_a 4.231
_cell_length_b 4.008
_cell_length_c 9.434
_cell_angle_alpha 90.00
_cell_angle_beta 90.00
_cell_angle_gamma 90.00
loop_
_atom_site_label
_atom_site_fract_x
_atom_site_fract_y
_atom_site_fract_z
Sm1 0.000 0.000 0.000
Sm2 0.000 0.500 0.500
As1 0.500 0.000 0.587
As2 0.500 0.500 0.087
Pt1 0.000 0.000 0.718
Pt2 0.000 0.500 0.218
Rh1 0.500 0.000 0.311
Rh2 0.500 0.500 0.811
```

Principal peaks in the range 10 to 90 degrees two-theta, low angle first:
d/Å  intensity
4.231  160
2.780  1000
2.474  442
2.136  449
2.116  294
2.060  393
2.004  249
1.608  237
1.455  177
1.436  246


Copy entry 4 word for word.
Simulated powder XRD pattern
Compound: Rb5As3Pt3
Radiation: CuKα
Structure: a structure optimized by DFT (GGA-PBE)

Structural model:
```
data_Rb5As3Pt3
_space_group_name_H-M_alt 'P 1'
_space_group_IT_number 1
_space_group_name_Hall 'P 1'
_cell_length_a 10.705
_cell_length_b 10.705
_cell_length_c 4.592
_cell_angle_alpha 90.00
_cell_angle_beta 90.00
_cell_angle_gamma 120.00
loop_
_atom_site_label
_atom_site_fract_x
_atom_site_fract_y
_atom_site_fract_z
Rb1 0.000 0.271 0.000
Rb2 0.271 0.000 0.000
Rb3 0.333 0.667 0.000
Rb4 0.667 0.333 0.000
Rb5 0.729 0.729 0.000
As1 0.000 0.636 0.000
As2 0.364 0.364 0.000
As3 0.636 0.000 0.000
Pt1 0.000 0.638 0.500
Pt2 0.362 0.362 0.500
Pt3 0.638 0.000 0.500
```

Principal peaks in the range 10 to 90 degrees two-theta, low angle first:
d/Å  intensity
5.352  1000
3.504  299
3.485  612
3.090  886
2.676  186
2.312  131
2.296  178
2.110  186
1.852  169
1.843  399